[1]
Theoretical PXRD pattern
Compound: Pm3Si2Pt3
Radiation: Cu Kα X-rays
Structure: the PBE geometry in Alexandria
Kinematic intensities with the Lorentz-polarization factor, no thermal factor.

Cell and atoms:
```
data_Pm3Si2Pt3
_chemical_formula_sum 'Pm6 Si4 Pt6'
_symmetry_space_group_name_H-M 'P 1'
_symmetry_Int_Tables_number 1
_cell_length_a 5.703
_cell_length_b 5.703
_cell_length_c 14.725
_cell_angle_alpha 90.00
_cell_angle_beta 90.00
_cell_angle_gamma 135.48
loop_
_symmetry_equiv_pos_as_xyz
'x,y,z'
loop_
_atom_site_label
_atom_site_fract_x
_atom_site_fract_y
_atom_site_fract_z
Pm1 0.083 0.917 0.606
Pm2 0.083 0.917 0.894
Pm3 0.382 0.618 0.750
Pm4 0.618 0.382 0.250
Pm5 0.917 0.083 0.106
Pm6 0.917 0.083 0.394
Si1 0.211 0.789 0.097
Si2 0.211 0.789 0.403
Si3 0.789 0.211 0.597
Si4 0.789 0.211 0.903
Pt1 0.318 0.682 0.250
Pt2 0.374 0.626 0.544
Pt3 0.374 0.626 0.956
Pt4 0.626 0.374 0.044
Pt5 0.626 0.374 0.456
Pt6 0.682 0.318 0.750
```

Largest 12 diffraction maxima, sorted by position, 10° ≤ 2θ ≤ 90°:
2θ/deg, I (rel.)
28.80, 59
32.83, 44
33.08, 100
33.40, 66
33.97, 35
34.89, 27
36.62, 24
37.73, 26
38.74, 27
41.19, 34
41.82, 51
67.83, 23

[2]
Theoretical PXRD pattern
Compound: Pm3Si3Pt8
Radiation: Cu Kα X-rays
Structure: the PBE geometry in Alexandria
Kinematic intensities with the Lorentz-polarization factor, no thermal factor.

Cell and atoms:
```
data_Pm3Si3Pt8
_chemical_formula_sum 'Pm3 Si3 Pt8'
_symmetry_space_group_name_H-M 'P 1'
_symmetry_Int_Tables_number 1
_cell_length_a 8.338
_cell_length_b 8.338
_cell_length_c 8.607
_cell_angle_alpha 120.86
_cell_angle_beta 120.86
_cell_angle_gamma 30.54
loop_
_symmetry_equiv_pos_as_xyz
'x,y,z'
loop_
_atom_site_label
_atom_site_fract_x
_atom_site_fract_y
_atom_site_fract_z
Pm1 0.000 0.000 0.000
Pm2 0.288 0.288 0.255
Pm3 0.712 0.712 0.745
Si1 0.000 0.000 0.500
Si2 0.330 0.330 0.661
Si3 0.670 0.670 0.339
Pt1 0.114 0.114 0.825
Pt2 0.143 0.143 0.438
Pt3 0.354 0.354 0.956
Pt4 0.489 0.489 0.664
Pt5 0.511 0.511 0.336
Pt6 0.646 0.646 0.044
Pt7 0.857 0.857 0.562
Pt8 0.886 0.886 0.175
```

Largest 12 diffraction maxima, sorted by position, 10° ≤ 2θ ≤ 90°:
2θ/deg, I (rel.)
24.51, 17
31.85, 34
34.90, 80
35.28, 100
37.44, 16
38.90, 22
39.74, 39
41.10, 51
46.34, 16
47.53, 16
52.92, 17
71.14, 13

[3]
Theoretical PXRD pattern
Compound: PmSi2Pt2
Radiation: Cu Kα X-rays
Structure: the PBE geometry in Alexandria
Kinematic intensities with the Lorentz-polarization factor, no thermal factor.

Cell and atoms:
```
data_PmSi2Pt2
_chemical_formula_sum 'Pm2 Si4 Pt4'
_symmetry_space_group_name_H-M 'P 1'
_symmetry_Int_Tables_number 1
_cell_length_a 4.268
_cell_length_b 4.268
_cell_length_c 9.814
_cell_angle_alpha 90.00
_cell_angle_beta 90.00
_cell_angle_gamma 90.00
loop_
_symmetry_equiv_pos_as_xyz
'x,y,z'
loop_
_atom_site_label
_atom_site_fract_x
_atom_site_fract_y
_atom_site_fract_z
Pm1 0.250 0.250 0.245
Pm2 0.750 0.750 0.755
Si1 0.250 0.250 0.631
Si2 0.250 0.750 0.000
Si3 0.750 0.250 0.000
Si4 0.750 0.750 0.369
Pt1 0.250 0.250 0.878
Pt2 0.250 0.750 0.500
Pt3 0.750 0.250 0.500
Pt4 0.750 0.750 0.122
```

Largest 12 diffraction maxima, sorted by position, 10° ≤ 2θ ≤ 90°:
2θ/deg, I (rel.)
27.26, 28
27.70, 33
31.00, 85
34.55, 75
34.90, 100
42.35, 78
47.78, 28
51.10, 21
51.23, 22
55.76, 38
61.44, 26
72.65, 24

[4]
Theoretical PXRD pattern
Compound: Pm3Si5Pt6
Radiation: Cu Kα X-rays
Structure: the PBE geometry in Alexandria
Kinematic intensities with the Lorentz-polarization factor, no thermal factor.

Cell and atoms:
```
data_Pm3Si5Pt6
_chemical_formula_sum 'Pm6 Si10 Pt12'
_symmetry_space_group_name_H-M 'P 1'
_symmetry_Int_Tables_number 1
_cell_length_a 4.091
_cell_length_b 12.437
_cell_length_c 10.099
_cell_angle_alpha 90.00
_cell_angle_beta 90.00
_cell_angle_gamma 90.00
loop_
_symmetry_equiv_pos_as_xyz
'x,y,z'
loop_
_atom_site_label
_atom_site_fract_x
_atom_site_fract_y
_atom_site_fract_z
Pm1 0.250 0.094 0.248
Pm2 0.250 0.406 0.248
Pm3 0.250 0.750 0.259
Pm4 0.750 0.250 0.741
Pm5 0.750 0.594 0.752
Pm6 0.750 0.906 0.752
Si1 0.250 0.077 0.852
Si2 0.250 0.423 0.852
Si3 0.250 0.631 0.521
Si4 0.250 0.750 0.880
Si5 0.250 0.869 0.521
Si6 0.750 0.131 0.479
Si7 0.750 0.250 0.120
Si8 0.750 0.369 0.479
Si9 0.750 0.577 0.148
Si10 0.750 0.923 0.148
Pt1 0.250 0.051 0.613
Pt2 0.250 0.250 0.489
Pt3 0.250 0.250 0.980
Pt4 0.250 0.449 0.613
Pt5 0.250 0.581 0.011
Pt6 0.250 0.919 0.011
Pt7 0.750 0.081 0.989
Pt8 0.750 0.419 0.989
Pt9 0.750 0.551 0.387
Pt10 0.750 0.750 0.020
Pt11 0.750 0.750 0.511
Pt12 0.750 0.949 0.387
```

Largest 12 diffraction maxima, sorted by position, 10° ≤ 2θ ≤ 90°:
2θ/deg, I (rel.)
17.56, 15
31.61, 15
31.99, 24
34.32, 21
34.50, 21
35.59, 100
43.51, 11
43.67, 17
44.28, 26
47.67, 14
63.90, 29
75.80, 11

[5]
Theoretical PXRD pattern
Compound: Pm2Si2Pt3
Radiation: Cu Kα X-rays
Structure: the PBE geometry in Alexandria
Kinematic intensities with the Lorentz-polarization factor, no thermal factor.

Cell and atoms:
```
data_Pm2Si2Pt3
_chemical_formula_sum 'Pm2 Si2 Pt3'
_symmetry_space_group_name_H-M 'P 1'
_symmetry_Int_Tables_number 1
_cell_length_a 5.634
_cell_length_b 5.634
_cell_length_c 7.139
_cell_angle_alpha 114.30
_cell_angle_beta 114.30
_cell_angle_gamma 40.84
loop_
_symmetry_equiv_pos_as_xyz
'x,y,z'
loop_
_atom_site_label
_atom_site_fract_x
_atom_site_fract_y
_atom_site_fract_z
Pm1 0.135 0.135 0.270
Pm2 0.865 0.865 0.730
Si1 0.150 0.150 0.724
Si2 0.850 0.850 0.276
Pt1 0.372 0.372 0.065
Pt2 0.500 0.500 0.500
Pt3 0.628 0.628 0.935
```

Largest 12 diffraction maxima, sorted by position, 10° ≤ 2θ ≤ 90°:
2θ/deg, I (rel.)
24.51, 22
30.25, 34
34.05, 61
34.23, 100
37.66, 27
37.81, 45
40.53, 65
46.20, 43
61.18, 32
61.42, 20
61.72, 23
66.38, 20

[6]
Theoretical PXRD pattern
Compound: PmSi2Sn2Pt7
Radiation: Cu Kα X-rays
Structure: the PBE geometry in Alexandria
Kinematic intensities with the Lorentz-polarization factor, no thermal factor.

Cell and atoms:
```
data_PmSi2Sn2Pt7
_chemical_formula_sum 'Pm1 Si2 Sn2 Pt7'
_symmetry_space_group_name_H-M 'P 1'
_symmetry_Int_Tables_number 1
_cell_length_a 3.969
_cell_length_b 3.969
_cell_length_c 15.510
_cell_angle_alpha 97.22
_cell_angle_beta 97.22
_cell_angle_gamma 90.03
loop_
_symmetry_equiv_pos_as_xyz
'x,y,z'
loop_
_atom_site_label
_atom_site_fract_x
_atom_site_fract_y
_atom_site_fract_z
Pm1 0.000 0.000 0.000
Si1 0.382 0.382 0.761
Si2 0.618 0.618 0.239
Sn1 0.211 0.211 0.423
Sn2 0.789 0.789 0.577
Pt1 0.074 0.574 0.151
Pt2 0.304 0.304 0.608
Pt3 0.426 0.926 0.849
Pt4 0.500 0.500 0.000
Pt5 0.574 0.074 0.151
Pt6 0.696 0.696 0.392
Pt7 0.926 0.426 0.849
```

Largest 12 diffraction maxima, sorted by position, 10° ≤ 2θ ≤ 90°:
2θ/deg, I (rel.)
11.60, 17
23.31, 23
29.26, 27
32.44, 36
34.04, 47
36.57, 100
41.41, 20
43.80, 25
45.72, 60
66.66, 20
70.16, 16
78.47, 17

[7]
Theoretical PXRD pattern
Compound: Pm2TmSi3Pt12
Radiation: Cu Kα X-rays
Structure: the PBE geometry in Alexandria
Kinematic intensities with the Lorentz-polarization factor, no thermal factor.

Cell and atoms:
```
data_Pm2TmSi3Pt12
_chemical_formula_sum 'Pm2 Tm1 Si3 Pt12'
_symmetry_space_group_name_H-M 'P 1'
_symmetry_Int_Tables_number 1
_cell_length_a 7.686
_cell_length_b 7.686
_cell_length_c 7.686
_cell_angle_alpha 65.64
_cell_angle_beta 65.64
_cell_angle_gamma 65.64
loop_
_symmetry_equiv_pos_as_xyz
'x,y,z'
loop_
_atom_site_label
_atom_site_fract_x
_atom_site_fract_y
_atom_site_fract_z
Pm1 0.099 0.099 0.099
Pm2 0.901 0.901 0.901
Tm1 0.500 0.500 0.500
Si1 0.000 0.500 0.500
Si2 0.500 0.000 0.500
Si3 0.500 0.500 0.000
Pt1 0.103 0.645 0.645
Pt2 0.150 0.150 0.601
Pt3 0.150 0.601 0.150
Pt4 0.355 0.355 0.897
Pt5 0.355 0.897 0.355
Pt6 0.399 0.850 0.850
Pt7 0.601 0.150 0.150
Pt8 0.645 0.103 0.645
Pt9 0.645 0.645 0.103
Pt10 0.850 0.399 0.850
Pt11 0.850 0.850 0.399
Pt12 0.897 0.355 0.355
```

Largest 12 diffraction maxima, sorted by position, 10° ≤ 2θ ≤ 90°:
2θ/deg, I (rel.)
23.31, 17
31.80, 100
34.36, 26
38.61, 13
43.45, 62
47.67, 41
48.53, 10
54.84, 17
66.46, 13
72.43, 12
78.54, 11
82.79, 11

[8]
Theoretical PXRD pattern
Compound: PmY2Si2Pt7
Radiation: Cu Kα X-rays
Structure: the PBE geometry in Alexandria
Kinematic intensities with the Lorentz-polarization factor, no thermal factor.

Cell and atoms:
```
data_PmY2Si2Pt7
_chemical_formula_sum 'Pm1 Y2 Si2 Pt7'
_symmetry_space_group_name_H-M 'P 1'
_symmetry_Int_Tables_number 1
_cell_length_a 4.071
_cell_length_b 4.071
_cell_length_c 13.838
_cell_angle_alpha 96.21
_cell_angle_beta 96.21
_cell_angle_gamma 89.32
loop_
_symmetry_equiv_pos_as_xyz
'x,y,z'
loop_
_atom_site_label
_atom_site_fract_x
_atom_site_fract_y
_atom_site_fract_z
Pm1 0.000 0.000 0.000
Y1 0.116 0.116 0.358
Y2 0.884 0.884 0.642
Si1 0.404 0.404 0.740
Si2 0.596 0.596 0.260
Pt1 0.062 0.562 0.166
Pt2 0.367 0.367 0.571
Pt3 0.438 0.938 0.834
Pt4 0.500 0.500 0.000
Pt5 0.562 0.062 0.166
Pt6 0.633 0.633 0.429
Pt7 0.938 0.438 0.834
```

Largest 12 diffraction maxima, sorted by position, 10° ≤ 2θ ≤ 90°:
2θ/deg, I (rel.)
31.97, 35
32.74, 46
33.96, 66
34.37, 74
35.81, 88
37.10, 100
37.80, 22
44.56, 90
44.79, 33
51.28, 25
70.10, 25
76.68, 23

Copy entry 1 word for word.
Theoretical PXRD pattern
Compound: Pm3Si2Pt3
Radiation: Cu Kα X-rays
Structure: the PBE geometry in Alexandria
Kinematic intensities with the Lorentz-polarization factor, no thermal factor.

Cell and atoms:
```
data_Pm3Si2Pt3
_chemical_formula_sum 'Pm6 Si4 Pt6'
_symmetry_space_group_name_H-M 'P 1'
_symmetry_Int_Tables_number 1
_cell_length_a 5.703
_cell_length_b 5.703
_cell_length_c 14.725
_cell_angle_alpha 90.00
_cell_angle_beta 90.00
_cell_angle_gamma 135.48
loop_
_symmetry_equiv_pos_as_xyz
'x,y,z'
loop_
_atom_site_label
_atom_site_fract_x
_atom_site_fract_y
_atom_site_fract_z
Pm1 0.083 0.917 0.606
Pm2 0.083 0.917 0.894
Pm3 0.382 0.618 0.750
Pm4 0.618 0.382 0.250
Pm5 0.917 0.083 0.106
Pm6 0.917 0.083 0.394
Si1 0.211 0.789 0.097
Si2 0.211 0.789 0.403
Si3 0.789 0.211 0.597
Si4 0.789 0.211 0.903
Pt1 0.318 0.682 0.250
Pt2 0.374 0.626 0.544
Pt3 0.374 0.626 0.956
Pt4 0.626 0.374 0.044
Pt5 0.626 0.374 0.456
Pt6 0.682 0.318 0.750
```

Largest 12 diffraction maxima, sorted by position, 10° ≤ 2θ ≤ 90°:
2θ/deg, I (rel.)
28.80, 59
32.83, 44
33.08, 100
33.40, 66
33.97, 35
34.89, 27
36.62, 24
37.73, 26
38.74, 27
41.19, 34
41.82, 51
67.83, 23